(1)
Structure and computed powder X-ray diffraction pattern of PuOs (DFT lattice parameters and positions (GGA-PBE); λ = 1.5418 Å (Cu Kα)).

Main lines, by intensity (2θ from 10° to 90°):
2theta, I (rel.)
40.64, 100.0
36.17, 54.0
76.81, 24.2
68.04, 23.0
52.08, 17.1
65.12, 17.0
79.66, 14.7
87.86, 4.1

Cell lengths 2.865, 2.865, 4.971 Å; angles 90.00, 90.00, 120.00 degrees
Fractional coordinates of all 2 atoms:
Pu1 0.000 0.000 0.000
Os1 0.333 0.667 0.500

***

(2)
Structure and computed powder X-ray diffraction pattern of MgTc2Te2 (DFT lattice parameters and positions (GGA-PBE); λ = 1.5418 Å (Cu Kα)).

Main lines, by intensity (2θ from 10° to 90°):
2theta, I (rel.)
15.03, 100.0
41.35, 80.5
36.68, 69.0
33.26, 43.6
55.51, 39.6
31.19, 36.4
34.79, 33.5
75.03, 27.8

Cell lengths 3.311, 3.311, 23.576 Å; angles 90.00, 90.00, 120.00 degrees
Fractional coordinates of all 10 atoms:
Mg1 0.000 0.000 0.000
Mg2 0.000 0.000 0.500
Tc1 0.333 0.667 0.090
Tc2 0.333 0.667 0.410
Tc3 0.667 0.333 0.590
Tc4 0.667 0.333 0.910
Te1 0.333 0.667 0.665
Te2 0.333 0.667 0.835
Te3 0.667 0.333 0.165
Te4 0.667 0.333 0.335

***

(3)
Structure and computed powder X-ray diffraction pattern of Hf6Al16Co7 (DFT lattice parameters and positions (GGA-PBE); λ = 1.5418 Å (Cu Kα)).

Main lines, by intensity (2θ from 10° to 90°):
2theta, I (rel.)
39.12, 100.0
42.75, 56.1
32.62, 48.6
36.80, 44.6
29.87, 41.5
12.81, 34.9
66.28, 32.3
14.81, 24.7

Cell lengths 8.461, 8.461, 8.461 Å; angles 60.00, 60.00, 60.00 degrees
Fractional coordinates of all 29 atoms:
Hf1 0.192 0.192 0.808
Hf2 0.192 0.808 0.192
Hf3 0.192 0.808 0.808
Hf4 0.808 0.192 0.192
Hf5 0.808 0.192 0.808
Hf6 0.808 0.808 0.192
Al1 0.145 0.618 0.618
Al2 0.165 0.165 0.165
Al3 0.165 0.165 0.506
Al4 0.165 0.506 0.165
Al5 0.382 0.382 0.382
Al6 0.382 0.382 0.855
Al7 0.382 0.855 0.382
Al8 0.494 0.835 0.835
Al9 0.506 0.165 0.165
Al10 0.618 0.145 0.618
Al11 0.618 0.618 0.145
Al12 0.618 0.618 0.618
Al13 0.835 0.494 0.835
Al14 0.835 0.835 0.494
Al15 0.835 0.835 0.835
Al16 0.855 0.382 0.382
Co1 0.000 0.000 0.500
Co2 0.000 0.500 0.000
Co3 0.000 0.500 0.500
Co4 0.500 0.000 0.000
Co5 0.500 0.000 0.500
Co6 0.500 0.500 0.000
Co7 0.500 0.500 0.500

***

(4)
Structure and computed powder X-ray diffraction pattern of Gd2In6Si4Au (DFT lattice parameters and positions (GGA-PBE); λ = 1.5418 Å (Cu Kα)).

Main lines, by intensity (2θ from 10° to 90°):
2theta, I (rel.)
35.66, 100.0
39.74, 86.6
26.45, 70.9
54.45, 29.1
69.49, 27.8
25.60, 22.5
72.13, 14.6
58.65, 14.5

Cell lengths 17.685, 17.685, 17.685 Å; angles 14.74, 14.74, 14.74 degrees
Fractional coordinates of all 13 atoms:
Gd1 0.064 0.064 0.064
Gd2 0.936 0.936 0.936
In1 0.186 0.186 0.186
In2 0.314 0.314 0.314
In3 0.444 0.444 0.444
In4 0.556 0.556 0.556
In5 0.686 0.686 0.686
In6 0.814 0.814 0.814
Si1 0.240 0.240 0.240
Si2 0.367 0.367 0.367
Si3 0.633 0.633 0.633
Si4 0.760 0.760 0.760
Au1 0.500 0.500 0.500

***

(5)
Structure and computed powder X-ray diffraction pattern of Rb2PtBr3Cl (DFT lattice parameters and positions (GGA-PBE); λ = 1.5418 Å (Cu Kα)).

Main lines, by intensity (2θ from 10° to 90°):
2theta, I (rel.)
11.66, 100.0
25.45, 54.8
22.70, 46.1
25.74, 31.7
32.95, 31.1
33.86, 29.5
39.38, 28.8
19.41, 27.9

Cell lengths 4.574, 7.590, 7.590 Å; angles 88.48, 90.00, 90.00 degrees
Fractional coordinates of all 7 atoms:
Rb1 0.000 0.241 0.759
Rb2 0.000 0.759 0.241
Pt1 0.500 0.751 0.751
Br1 0.500 0.518 0.983
Br2 0.500 0.525 0.525
Br3 0.500 0.983 0.518
Cl1 0.500 0.966 0.966

***

(6)
Structure and computed powder X-ray diffraction pattern of Pr4BI5 (DFT lattice parameters and positions (GGA-PBE); λ = 1.5418 Å (Cu Kα)).

Main lines, by intensity (2θ from 10° to 90°):
2theta, I (rel.)
28.94, 100.0
27.99, 46.6
40.54, 31.2
40.85, 29.6
31.53, 25.0
28.40, 19.1
51.90, 18.8
42.76, 18.8

Cell lengths 10.029, 10.029, 9.022 Å; angles 102.40, 102.40, 24.34 degrees
Fractional coordinates of all 10 atoms:
Pr1 0.001 0.001 0.298
Pr2 0.360 0.360 0.429
Pr3 0.640 0.640 0.571
Pr4 0.999 0.999 0.702
B1 0.500 0.500 0.500
I1 0.165 0.165 0.843
I2 0.172 0.172 0.323
I3 0.500 0.500 0.000
I4 0.828 0.828 0.677
I5 0.835 0.835 0.157